Record 1
# Y3Mg3CuAgPt
Theoretical X-ray diffraction stick pattern, Cu Kα, 1.54184 Å. Input: the PBE geometry in OQMD.

Structural model:
Lattice parameters (Å, degrees): 7.595 7.595 4.003 90.00 90.00 120.00
Fractional positions:
Y 0.019 0.598 0.000
Y 0.402 0.420 0.000
Y 0.580 0.981 0.000
Mg 0.001 0.242 0.500
Mg 0.242 0.999 0.500
Mg 0.758 0.758 0.500
Cu 0.000 0.000 0.000
Ag 0.667 0.333 0.500
Pt 0.333 0.667 0.500

The 6 most intense peaks (10 to 80 degrees two-theta), by angle:
| 2theta | I (rel.) |
| --- | --- |
| 13.46 | 55 |
| 23.42 | 54 |
| 32.50 | 100 |
| 35.32 | 91 |
| 41.17 | 41 |
| 42.82 | 40 |

Record 2
# Sm2Fe17B3
Theoretical X-ray diffraction stick pattern, Cu Kα, 1.54184 Å. Input: the PBE geometry in OQMD.

Structural model:
Lattice parameters (Å, degrees): 6.558 6.558 6.558 84.03 84.03 84.03
Fractional positions:
Sm 0.156 0.156 0.156
Sm 0.844 0.844 0.844
Fe 0.000 0.500 0.500
Fe 0.163 0.163 0.648
Fe 0.163 0.648 0.163
Fe 0.221 0.500 0.779
Fe 0.221 0.779 0.500
Fe 0.352 0.837 0.837
Fe 0.404 0.404 0.404
Fe 0.500 0.000 0.500
Fe 0.500 0.221 0.779
Fe 0.500 0.500 0.000
Fe 0.500 0.779 0.221
Fe 0.596 0.596 0.596
Fe 0.648 0.163 0.163
Fe 0.779 0.221 0.500
Fe 0.779 0.500 0.221
Fe 0.837 0.352 0.837
Fe 0.837 0.837 0.352
B 0.000 0.000 0.500
B 0.000 0.500 0.000
B 0.500 0.000 0.000

The 6 most intense peaks (10 to 80 degrees two-theta), by angle:
| 2theta | I (rel.) |
| --- | --- |
| 29.58 | 44 |
| 35.42 | 39 |
| 37.27 | 30 |
| 41.13 | 79 |
| 41.73 | 100 |
| 43.49 | 37 |

Record 3
# TaNb2Os
Theoretical X-ray diffraction stick pattern, Cu Kα, 1.54184 Å. Input: the PBE geometry in OQMD.

Structural model:
Lattice parameters (Å, degrees): 5.151 5.151 5.204 90.00 90.00 90.00
Fractional positions:
Ta 0.000 0.000 0.250
Ta 0.000 0.000 0.750
Nb 0.250 0.500 0.000
Nb 0.500 0.250 0.500
Nb 0.500 0.750 0.500
Nb 0.750 0.500 0.000
Os 0.000 0.500 0.500
Os 0.500 0.000 0.000

The 6 most intense peaks (10 to 80 degrees two-theta), by angle:
| 2theta | I (rel.) |
| --- | --- |
| 34.84 | 75 |
| 38.77 | 63 |
| 39.08 | 92 |
| 42.71 | 86 |
| 42.94 | 100 |
| 67.89 | 44 |

Record 4
# CsAuBrCl2
Theoretical X-ray diffraction stick pattern, Cu Kα, 1.54184 Å. Input: the PBE geometry in OQMD.

Structural model:
Lattice parameters (Å, degrees): 7.858 7.858 7.858 122.19 122.19 86.25
Fractional positions:
Cs 0.250 0.750 0.500
Cs 0.750 0.250 0.500
Au 0.000 0.000 0.000
Au 0.500 0.500 0.000
Br 0.214 0.214 0.000
Br 0.786 0.786 0.000
Cl 0.280 0.280 0.559
Cl 0.280 0.720 0.000
Cl 0.720 0.280 0.000
Cl 0.720 0.720 0.441

The 6 most intense peaks (10 to 80 degrees two-theta), by angle:
| 2theta | I (rel.) |
| --- | --- |
| 22.68 | 100 |
| 23.42 | 82 |
| 33.36 | 65 |
| 39.37 | 37 |
| 40.72 | 42 |
| 46.31 | 45 |

Record 5
# HfAgB
Theoretical X-ray diffraction stick pattern, Cu Kα, 1.54184 Å. Input: the PBE geometry in OQMD.

Structural model:
Lattice parameters (Å, degrees): 5.890 5.890 5.890 90.00 90.00 90.00
Fractional positions:
Hf 0.000 0.000 0.000
Hf 0.000 0.500 0.500
Hf 0.500 0.000 0.500
Hf 0.500 0.500 0.000
Ag 0.250 0.250 0.750
Ag 0.250 0.750 0.250
Ag 0.750 0.250 0.250
Ag 0.750 0.750 0.750
B 0.000 0.000 0.500
B 0.000 0.500 0.000
B 0.500 0.000 0.000
B 0.500 0.500 0.500

The 6 most intense peaks (10 to 80 degrees two-theta), by angle:
| 2theta | I (rel.) |
| --- | --- |
| 26.21 | 100 |
| 43.46 | 83 |
| 51.46 | 48 |
| 63.14 | 13 |
| 69.58 | 19 |
| 79.77 | 28 |

Record 6
# Ni2W11
Theoretical X-ray diffraction stick pattern, Cu Kα, 1.54184 Å. Input: the PBE geometry in OQMD.

Structural model:
Lattice parameters (Å, degrees): 9.702 9.702 9.702 30.93 30.93 30.93
Fractional positions:
Ni 0.153 0.153 0.153
Ni 0.847 0.847 0.847
W 0.045 0.045 0.045
W 0.087 0.591 0.591
W 0.332 0.332 0.332
W 0.409 0.409 0.913
W 0.409 0.913 0.409
W 0.500 0.500 0.500
W 0.591 0.087 0.591
W 0.591 0.591 0.087
W 0.668 0.668 0.668
W 0.913 0.409 0.409
W 0.955 0.955 0.955

The 6 most intense peaks (10 to 80 degrees two-theta), by angle:
| 2theta | I (rel.) |
| --- | --- |
| 39.95 | 100 |
| 40.39 | 51 |
| 41.13 | 69 |
| 43.58 | 77 |
| 46.59 | 45 |
| 73.16 | 42 |